For KHfCuS3, the PBE geometry in the Materials Project gives the theoretical powder XRD pattern in this record (Cu Kα).
Kinematic intensities with the Lorentz-polarization factor, no thermal factor.

Atomic structure:
```
KHfCuS3
1.0
1.8661 -7.1511 0.0000
1.8661 7.1511 0.0000
0.0000 0.0000 9.7620
K Hf Cu S
2 2 2 6
direct
0.2453 0.7547 0.7500
0.7547 0.2453 0.2500
0.5000 0.5000 0.0000
0.5000 0.5000 0.5000
0.0346 0.9654 0.2500
0.9654 0.0346 0.7500
0.1194 0.8806 0.0512
0.1194 0.8806 0.4488
0.4369 0.5631 0.2500
0.5631 0.4369 0.7500
0.8806 0.1194 0.5512
0.8806 0.1194 0.9488
```

The 10 most intense peaks (10 to 90 degrees two-theta), by angle:
2θ 12.38, rel. 100; 2θ 22.05, rel. 19; 2θ 24.90, rel. 15; 2θ 30.42, rel. 15; 2θ 30.80, rel. 28; 2θ 31.80, rel. 15; 2θ 35.66, rel. 38; 2θ 36.83, rel. 16; 2θ 43.99, rel. 25; 2θ 62.65, rel. 13

For HfMg14Cu, the PBE geometry in the Materials Project gives the theoretical powder XRD pattern in this record (Cu Kα).
Kinematic intensities with the Lorentz-polarization factor, no thermal factor.

Atomic structure:
```
HfMg14Cu
1.0
6.3257 0.0000 0.0000
-3.1629 5.4782 0.0000
0.0000 0.0000 10.0286
Hf Mg Cu
1 14 1
direct
0.0000 0.0000 0.0000
0.0093 0.5047 0.0000
0.1599 0.3199 0.2570
0.1599 0.3199 0.7430
0.1599 0.8401 0.2570
0.1599 0.8401 0.7430
0.4953 0.5047 0.0000
0.4953 0.9907 0.0000
0.5014 0.0028 0.5000
0.5014 0.4986 0.5000
0.6667 0.3333 0.2456
0.6667 0.3333 0.7544
0.6801 0.8401 0.2570
0.6801 0.8401 0.7430
0.9972 0.4986 0.5000
0.0000 0.0000 0.5000
```

The 10 most intense peaks (10 to 90 degrees two-theta), by angle:
2θ 16.18, rel. 55; 2θ 18.45, rel. 22; 2θ 24.06, rel. 38; 2θ 32.69, rel. 31; 2θ 33.50, rel. 18; 2θ 35.82, rel. 24; 2θ 37.41, rel. 100; 2θ 49.27, rel. 19; 2θ 65.41, rel. 18; 2θ 70.39, rel. 19

For HfMg14Cu, the PBE geometry in the Materials Project gives the theoretical powder XRD pattern in this record (Cu Kα).
Kinematic intensities with the Lorentz-polarization factor, no thermal factor.

Atomic structure:
```
HfMg14Cu
1.0
10.0663 0.0000 0.0000
0.0000 3.1177 5.5063
0.0000 -3.1177 5.5063
Hf Mg Cu
1 14 1
direct
0.0000 0.0000 0.0000
0.0000 0.0112 0.4905
0.0000 0.4905 0.0112
0.2323 0.6521 0.6521
0.2418 0.1614 0.6589
0.2418 0.6589 0.1614
0.2522 0.1559 0.1559
0.5000 0.4925 0.4925
0.5000 0.4962 0.9889
0.5000 0.9889 0.4962
0.5000 0.9901 0.9901
0.7478 0.1559 0.1559
0.7582 0.1614 0.6589
0.7582 0.6589 0.1614
0.7677 0.6521 0.6521
0.0000 0.4832 0.4832
```

The 10 most intense peaks (10 to 90 degrees two-theta), by angle:
2θ 16.10, rel. 29; 2θ 17.62, rel. 23; 2θ 18.37, rel. 41; 2θ 18.58, rel. 22; 2θ 23.95, rel. 20; 2θ 33.02, rel. 34; 2θ 35.68, rel. 38; 2θ 37.23, rel. 56; 2θ 37.67, rel. 100; 2θ 49.40, rel. 21

For HfMg14CuO16, the PBE geometry in the Materials Project gives the theoretical powder XRD pattern in this record (Cu Kα).
Kinematic intensities with the Lorentz-polarization factor, no thermal factor.

Atomic structure:
```
HfMg14CuO16
1.0
4.2677 0.0000 0.0000
0.0000 8.6765 0.0000
0.0000 0.0000 8.7396
Hf Mg Cu O
1 14 1 16
direct
0.0000 0.0000 0.0000
0.0000 0.2544 0.2603
0.0000 0.2544 0.7397
0.0000 0.5000 0.0000
0.0000 0.5000 0.5000
0.0000 0.7456 0.2603
0.0000 0.7456 0.7397
0.5000 0.0000 0.2671
0.5000 0.0000 0.7329
0.5000 0.2488 0.5000
0.5000 0.2581 0.0000
0.5000 0.5000 0.2530
0.5000 0.5000 0.7470
0.5000 0.7419 0.0000
0.5000 0.7512 0.5000
0.0000 0.0000 0.5000
0.0000 0.0000 0.2339
0.0000 0.0000 0.7661
0.0000 0.2534 0.0000
0.0000 0.2672 0.5000
0.0000 0.5000 0.2458
0.0000 0.5000 0.7542
0.0000 0.7328 0.5000
0.0000 0.7466 0.0000
0.5000 0.0000 0.0000
0.5000 0.0000 0.5000
0.5000 0.2479 0.2492
0.5000 0.2479 0.7508
0.5000 0.5000 0.0000
0.5000 0.5000 0.5000
0.5000 0.7521 0.2492
0.5000 0.7521 0.7508
```

The 10 most intense peaks (10 to 90 degrees two-theta), by angle:
2θ 10.18, rel. 100; 2θ 23.22, rel. 36; 2θ 31.07, rel. 39; 2θ 35.97, rel. 58; 2θ 41.32, rel. 61; 2θ 41.64, rel. 60; 2θ 42.36, rel. 58; 2θ 60.11, rel. 35; 2θ 60.66, rel. 34; 2θ 60.90, rel. 34

For HfMg14CuO16, the PBE geometry in the Materials Project gives the theoretical powder XRD pattern in this record (Cu Kα).
Kinematic intensities with the Lorentz-polarization factor, no thermal factor.

Atomic structure:
```
HfMg14CuO16
1.0
8.6781 0.0000 0.0000
0.0000 8.6781 0.0000
0.0000 0.0000 4.2709
Hf Mg Cu O
1 14 1 16
direct
0.0000 0.0000 0.0000
0.0000 0.2618 0.5000
0.0000 0.5000 0.0000
0.0000 0.7382 0.5000
0.2558 0.5000 0.5000
0.2612 0.2612 0.0000
0.2612 0.7388 0.0000
0.2618 0.0000 0.5000
0.5000 0.0000 0.0000
0.5000 0.2558 0.5000
0.5000 0.7442 0.5000
0.7382 0.0000 0.5000
0.7388 0.2612 0.0000
0.7388 0.7388 0.0000
0.7442 0.5000 0.5000
0.5000 0.5000 0.0000
0.0000 0.0000 0.5000
0.0000 0.2466 0.0000
0.0000 0.5000 0.5000
0.0000 0.7534 0.0000
0.2313 0.5000 0.0000
0.2466 0.0000 0.0000
0.2485 0.2485 0.5000
0.2485 0.7515 0.5000
0.5000 0.0000 0.5000
0.5000 0.2313 0.0000
0.5000 0.5000 0.5000
0.5000 0.7687 0.0000
0.7515 0.2485 0.5000
0.7515 0.7515 0.5000
0.7534 0.0000 0.0000
0.7687 0.5000 0.0000
```

The 10 most intense peaks (10 to 90 degrees two-theta), by angle:
2θ 10.19, rel. 38; 2θ 14.43, rel. 62; 2θ 20.47, rel. 33; 2θ 25.41, rel. 37; 2θ 29.34, rel. 27; 2θ 36.04, rel. 48; 2θ 41.63, rel. 100; 2θ 42.32, rel. 49; 2θ 60.33, rel. 29; 2θ 60.87, rel. 57

For NaHf2CuSe5, the PBE geometry in the Materials Project gives the theoretical powder XRD pattern in this record (Cu Kα).
Kinematic intensities with the Lorentz-polarization factor, no thermal factor.

Atomic structure:
```
NaHf2CuSe5
1.0
1.8969 -6.9739 0.0000
1.8969 6.9739 0.0000
0.0000 0.0000 16.2919
Na Hf Cu Se
2 4 2 10
direct
0.0338 0.9662 0.7500
0.9662 0.0338 0.2500
0.2094 0.7906 0.0984
0.2094 0.7906 0.4016
0.7906 0.2094 0.5984
0.7906 0.2094 0.9016
0.3225 0.6775 0.7500
0.6775 0.3225 0.2500
0.1598 0.8402 0.5607
0.1598 0.8402 0.9393
0.2910 0.7090 0.2500
0.4224 0.5776 0.6282
0.4224 0.5776 0.8718
0.5776 0.4224 0.1282
0.5776 0.4224 0.3718
0.7090 0.2910 0.7500
0.8402 0.1598 0.0607
0.8402 0.1598 0.4393
```

The 10 most intense peaks (10 to 90 degrees two-theta), by angle:
2θ 12.69, rel. 100; 2θ 13.81, rel. 25; 2θ 30.91, rel. 38; 2θ 32.38, rel. 36; 2θ 32.99, rel. 24; 2θ 34.70, rel. 25; 2θ 35.48, rel. 20; 2θ 37.74, rel. 25; 2θ 46.16, rel. 43; 2θ 47.96, rel. 18

For Hf2CuOs, the PBE geometry in the Materials Project gives the theoretical powder XRD pattern in this record (Cu Kα).
Kinematic intensities with the Lorentz-polarization factor, no thermal factor.

Atomic structure:
```
Hf2CuOs
1.0
6.5071 0.0000 0.0000
0.0000 6.5071 0.0000
0.0000 0.0000 6.5071
Hf Cu Os
8 4 4
direct
0.2500 0.2500 0.2500
0.2500 0.2500 0.7500
0.2500 0.7500 0.2500
0.2500 0.7500 0.7500
0.7500 0.2500 0.2500
0.7500 0.2500 0.7500
0.7500 0.7500 0.2500
0.7500 0.7500 0.7500
0.0000 0.0000 0.0000
0.0000 0.5000 0.5000
0.5000 0.0000 0.5000
0.5000 0.5000 0.0000
0.0000 0.0000 0.5000
0.0000 0.5000 0.0000
0.5000 0.0000 0.0000
0.5000 0.5000 0.5000
```

The 10 most intense peaks (10 to 90 degrees two-theta), by angle:
2θ 23.68, rel. 9; 2θ 27.41, rel. 3; 2θ 39.16, rel. 100; 2θ 46.27, rel. 5; 2θ 56.57, rel. 17; 2θ 62.18, rel. 2; 2θ 70.96, rel. 35; 2θ 75.99, rel. 2; 2θ 84.16, rel. 11; 2θ 89.00, rel. 2

For HfCu2P2, the PBE geometry in the Materials Project gives the theoretical powder XRD pattern in this record (Cu Kα).
Kinematic intensities with the Lorentz-polarization factor, no thermal factor.

Atomic structure:
```
HfCu2P2
1.0
3.8031 0.0000 0.0000
-1.9015 3.2936 0.0000
0.0000 0.0000 6.1351
Hf Cu P
1 2 2
direct
0.0000 0.0000 0.0000
0.3333 0.6667 0.3621
0.6667 0.3333 0.6379
0.3333 0.6667 0.7539
0.6667 0.3333 0.2461
```

The 10 most intense peaks (10 to 90 degrees two-theta), by angle:
2θ 14.44, rel. 15; 2θ 30.81, rel. 100; 2θ 40.17, rel. 60; 2θ 47.83, rel. 41; 2θ 52.68, rel. 12; 2θ 57.99, rel. 17; 2θ 64.19, rel. 15; 2θ 67.23, rel. 17; 2θ 78.38, rel. 14; 2θ 83.88, rel. 14